(1)
Starting from a structure optimized by DFT (GGA+U), the powder diffraction line list of SrYCoO4 was calculated for Cu Kα (weighted mean of Kα1 and Kα2).

Peak list (10 most intense, 2θ = 10–80°, by angle)
2θ/deg	I/Imax
31.70	74
32.10	71
33.57	100
43.13	35
44.53	29
47.65	28
48.77	26
55.76	24
58.62	26
59.35	25

Structural model:
```
data_SrYCoO4
_chemical_formula_sum 'Sr4 Y4 Co4 O16'
_cell_length_a 3.8169
_cell_length_b 6.8311
_cell_length_c 14.6274
_cell_angle_alpha 96.63
_cell_angle_beta 97.45
_cell_angle_gamma 106.21
_symmetry_space_group_name_H-M 'P 1'
_symmetry_Int_Tables_number 1
loop_
_symmetry_equiv_pos_as_xyz
'x,y,z'
loop_
_atom_site_label
_atom_site_fract_x
_atom_site_fract_y
_atom_site_fract_z
Sr1 0.0000 0.0000 0.0000
Sr2 0.2470 0.2477 0.2488
Sr3 0.4946 0.4948 0.4984
Sr4 0.7455 0.7463 0.7485
Y1 0.0297 0.7404 0.3213
Y2 0.2871 0.9947 0.5731
Y3 0.5331 0.2529 0.8184
Y4 0.7730 0.4917 0.0667
Co1 0.0112 0.3649 0.6591
Co2 0.2615 0.6182 0.9112
Co3 0.5096 0.8607 0.1613
Co4 0.7611 0.1129 0.4109
O1 0.0002 0.8378 0.1651
O2 0.1209 0.4558 0.7905
O3 0.1501 0.6834 0.6161
O4 0.1566 0.3441 0.9661
O5 0.2482 0.0846 0.4137
O6 0.3895 0.7439 0.0386
O7 0.4000 0.5877 0.2107
O8 0.4004 0.9438 0.8616
O9 0.5024 0.3419 0.6646
O10 0.6309 0.8199 0.4453
O11 0.6381 0.9934 0.2851
O12 0.6510 0.1910 0.1148
O13 0.7505 0.5933 0.9126
O14 0.8730 0.0644 0.6887
O15 0.8807 0.2304 0.5334
O16 0.8991 0.4335 0.3660
```

=====

(2)
Starting from a structure optimized by DFT (GGA+U), the powder diffraction line list of CrNF4 was calculated for Cu Kα (weighted mean of Kα1 and Kα2).

Peak list (10 most intense, 2θ = 10–80°, by angle)
2θ/deg	I/Imax
14.10	100
23.31	71
27.34	60
28.41	15
33.20	18
47.66	27
49.66	18
49.95	14
53.71	10
55.82	13

Structural model:
```
data_CrNF4
_chemical_formula_sum 'Cr4 N4 F16'
_cell_length_a 7.6327
_cell_length_b 7.6327
_cell_length_c 6.2822
_cell_angle_alpha 90.00
_cell_angle_beta 90.00
_cell_angle_gamma 90.00
_symmetry_space_group_name_H-M 'P 1'
_symmetry_Int_Tables_number 1
loop_
_symmetry_equiv_pos_as_xyz
'x,y,z'
loop_
_atom_site_label
_atom_site_fract_x
_atom_site_fract_y
_atom_site_fract_z
Cr1 0.0000 0.0000 0.0000
Cr2 0.0000 0.5000 0.0000
Cr3 0.5000 0.0000 0.0000
Cr4 0.5000 0.5000 0.0000
N1 0.2500 0.2500 0.4655
N2 0.2500 0.7500 0.5000
N3 0.7500 0.2500 0.5000
N4 0.7500 0.7500 0.5345
F1 0.0011 0.7500 0.9593
F2 0.0272 0.0272 0.7228
F3 0.0272 0.4728 0.7228
F4 0.2500 0.5011 0.0407
F5 0.2500 0.9989 0.0407
F6 0.4728 0.0272 0.7228
F7 0.4728 0.4728 0.7228
F8 0.4989 0.7500 0.9593
F9 0.5011 0.2500 0.0407
F10 0.5272 0.5272 0.2772
F11 0.5272 0.9728 0.2772
F12 0.7500 0.0011 0.9593
F13 0.7500 0.4989 0.9593
F14 0.9728 0.5272 0.2772
F15 0.9728 0.9728 0.2772
F16 0.9989 0.2500 0.0407
```

=====

(3)
Starting from a structure optimized by DFT (GGA+U), the powder diffraction line list of V6O11 was calculated for Cu Kα (weighted mean of Kα1 and Kα2).

Peak list (10 most intense, 2θ = 10–80°, by angle)
2θ/deg	I/Imax
13.21	85
18.86	51
22.11	50
31.95	38
32.11	74
33.35	48
38.26	43
54.58	38
55.01	100
63.43	45

Structural model:
```
data_V6O11
_chemical_formula_sum 'V12 O22'
_cell_length_a 5.8667
_cell_length_b 5.8667
_cell_length_c 13.4012
_cell_angle_alpha 90.00
_cell_angle_beta 90.00
_cell_angle_gamma 121.07
_symmetry_space_group_name_H-M 'P 1'
_symmetry_Int_Tables_number 1
loop_
_symmetry_equiv_pos_as_xyz
'x,y,z'
loop_
_atom_site_label
_atom_site_fract_x
_atom_site_fract_y
_atom_site_fract_z
V1 0.0000 0.0000 0.0000
V2 0.0000 0.0000 0.5000
V3 0.0000 0.5000 0.0000
V4 0.0000 0.5000 0.5000
V5 0.1693 0.8307 0.7500
V6 0.4994 0.5006 0.1488
V7 0.4994 0.5006 0.3512
V8 0.5000 0.0000 0.0000
V9 0.5000 0.0000 0.5000
V10 0.5006 0.4994 0.6488
V11 0.5006 0.4994 0.8512
V12 0.8307 0.1693 0.2500
O1 0.1575 0.3282 0.5738
O2 0.1575 0.3282 0.9262
O3 0.1666 0.8334 0.5863
O4 0.1666 0.8334 0.9137
O5 0.1985 0.3437 0.2500
O6 0.3247 0.6753 0.0745
O7 0.3247 0.6753 0.4255
O8 0.3282 0.1575 0.0738
O9 0.3282 0.1575 0.4262
O10 0.3402 0.6598 0.7500
O11 0.3437 0.1985 0.7500
O12 0.6563 0.8015 0.2500
O13 0.6598 0.3402 0.2500
O14 0.6718 0.8425 0.5738
O15 0.6718 0.8425 0.9262
O16 0.6753 0.3247 0.5745
O17 0.6753 0.3247 0.9255
O18 0.8015 0.6563 0.7500
O19 0.8334 0.1666 0.0863
O20 0.8334 0.1666 0.4137
O21 0.8425 0.6718 0.0738
O22 0.8425 0.6718 0.4262
```

=====

(4)
Starting from a structure optimized by DFT (GGA+U), the powder diffraction line list of Sr2CrOsO6 was calculated for Cu Kα (weighted mean of Kα1 and Kα2).

Peak list (10 most intense, 2θ = 10–80°, by angle)
2θ/deg	I/Imax
19.38	26
22.42	8
31.91	100
37.61	15
45.76	32
50.13	7
56.87	39
60.67	6
66.71	19
75.87	17

Structural model:
```
data_Sr2CrOsO6
_chemical_formula_sum 'Sr4 Cr2 Os2 O12'
_cell_length_a 9.7129
_cell_length_b 9.7129
_cell_length_c 9.7129
_cell_angle_alpha 33.56
_cell_angle_beta 33.56
_cell_angle_gamma 33.56
_symmetry_space_group_name_H-M 'P 1'
_symmetry_Int_Tables_number 1
loop_
_symmetry_equiv_pos_as_xyz
'x,y,z'
loop_
_atom_site_label
_atom_site_fract_x
_atom_site_fract_y
_atom_site_fract_z
Sr1 0.1239 0.1239 0.1239
Sr2 0.3740 0.3740 0.3740
Sr3 0.6260 0.6260 0.6260
Sr4 0.8761 0.8761 0.8761
Cr1 0.2485 0.2485 0.2485
Cr2 0.7515 0.7515 0.7515
Os1 0.0000 0.0000 0.0000
Os2 0.5000 0.5000 0.5000
O1 0.1241 0.1241 0.6269
O2 0.1241 0.6269 0.1241
O3 0.1281 0.6239 0.6239
O4 0.3731 0.8759 0.8759
O5 0.3761 0.3761 0.8719
O6 0.3761 0.8719 0.3761
O7 0.6239 0.1281 0.6239
O8 0.6239 0.6239 0.1281
O9 0.6269 0.1241 0.1241
O10 0.8719 0.3761 0.3761
O11 0.8759 0.3731 0.8759
O12 0.8759 0.8759 0.3731
```

=====

(5)
Starting from a structure optimized by DFT (GGA+U), the powder diffraction line list of LiCr2P3O13 was calculated for Cu Kα (weighted mean of Kα1 and Kα2).

Peak list (10 most intense, 2θ = 10–80°, by angle)
2θ/deg	I/Imax
12.52	24
13.25	25
14.50	14
17.71	53
18.48	50
23.70	100
26.68	50
29.24	64
30.09	19
32.56	16

Structural model:
```
data_LiCr2P3O13
_chemical_formula_sum 'Li2 Cr4 P6 O26'
_cell_length_a 6.1950
_cell_length_b 7.4092
_cell_length_c 10.7505
_cell_angle_alpha 74.89
_cell_angle_beta 85.74
_cell_angle_gamma 80.59
_symmetry_space_group_name_H-M 'P 1'
_symmetry_Int_Tables_number 1
loop_
_symmetry_equiv_pos_as_xyz
'x,y,z'
loop_
_atom_site_label
_atom_site_fract_x
_atom_site_fract_y
_atom_site_fract_z
Li1 0.2148 0.4339 0.2233
Li2 0.7852 0.5661 0.7767
Cr1 0.2545 0.8047 0.4080
Cr2 0.2791 0.7958 0.9116
Cr3 0.7209 0.2042 0.0884
Cr4 0.7455 0.1953 0.5920
P1 0.2366 0.0681 0.1097
P2 0.2459 0.1967 0.6637
P3 0.3846 0.5312 0.6938
P4 0.6154 0.4688 0.3062
P5 0.7541 0.8033 0.3363
P6 0.7634 0.9319 0.8903
O1 0.0254 0.2021 0.1322
O2 0.0279 0.2693 0.5966
O3 0.1852 0.0139 0.4224
O4 0.2273 0.0118 0.9825
O5 0.2423 0.6555 0.5830
O6 0.2531 0.6445 0.0484
O7 0.2635 0.3451 0.7483
O8 0.2647 0.9979 0.7465
O9 0.2796 0.8869 0.2202
O10 0.3674 0.6135 0.8102
O11 0.3758 0.5280 0.3406
O12 0.4106 0.2007 0.0995
O13 0.4388 0.2192 0.5644
O14 0.5612 0.7808 0.4356
O15 0.5894 0.7993 0.9005
O16 0.6242 0.4720 0.6594
O17 0.6326 0.3865 0.1898
O18 0.7204 0.1131 0.7798
O19 0.7353 0.0021 0.2535
O20 0.7365 0.6549 0.2517
O21 0.7469 0.3555 0.9516
O22 0.7577 0.3445 0.4170
O23 0.7727 0.9882 0.0175
O24 0.8148 0.9861 0.5776
O25 0.9721 0.7307 0.4034
O26 0.9746 0.7979 0.8678
```

=====

(6)
Starting from a structure optimized by DFT (GGA+U), the powder diffraction line list of VGaCu2O4 was calculated for Cu Kα (weighted mean of Kα1 and Kα2).

Peak list (10 most intense, 2θ = 10–80°, by angle)
2θ/deg	I/Imax
31.22	46
35.07	52
35.52	100
39.72	20
39.98	39
54.67	16
55.11	31
60.09	26
60.88	13
64.58	30

Structural model:
```
data_VGaCu2O4
_chemical_formula_sum 'V1 Ga1 Cu2 O4'
_cell_length_a 5.3552
_cell_length_b 3.0435
_cell_length_c 5.9957
_cell_angle_alpha 90.00
_cell_angle_beta 107.12
_cell_angle_gamma 90.00
_symmetry_space_group_name_H-M 'P 1'
_symmetry_Int_Tables_number 1
loop_
_symmetry_equiv_pos_as_xyz
'x,y,z'
loop_
_atom_site_label
_atom_site_fract_x
_atom_site_fract_y
_atom_site_fract_z
V1 0.0000 0.0000 0.0000
Ga1 0.5000 0.5000 0.0000
Cu1 0.0000 0.5000 0.5000
Cu2 0.5000 0.0000 0.5000
O1 0.1149 0.5000 0.8247
O2 0.3982 0.0000 0.1765
O3 0.6018 0.0000 0.8235
O4 0.8851 0.5000 0.1753
```

=====

(7)
Starting from a structure optimized by DFT (GGA+U), the powder diffraction line list of Mn3Zn2O8 was calculated for Cu Kα (weighted mean of Kα1 and Kα2).

Peak list (10 most intense, 2θ = 10–80°, by angle)
2θ/deg	I/Imax
22.65	41
27.30	69
29.06	56
31.70	49
33.24	78
36.20	100
38.68	45
49.20	43
56.22	54
65.08	44

Structural model:
```
data_Mn3Zn2O8
_chemical_formula_sum 'Mn3 Zn2 O8'
_cell_length_a 5.7734
_cell_length_b 5.7734
_cell_length_c 4.9734
_cell_angle_alpha 101.99
_cell_angle_beta 101.99
_cell_angle_gamma 60.09
_symmetry_space_group_name_H-M 'P 1'
_symmetry_Int_Tables_number 1
loop_
_symmetry_equiv_pos_as_xyz
'x,y,z'
loop_
_atom_site_label
_atom_site_fract_x
_atom_site_fract_y
_atom_site_fract_z
Mn1 0.0000 0.0000 0.0000
Mn2 0.2559 0.7441 0.5000
Mn3 0.7441 0.2559 0.5000
Zn1 0.2882 0.2882 0.8809
Zn2 0.7118 0.7118 0.1191
O1 0.1008 0.1008 0.3801
O2 0.1119 0.6584 0.1244
O3 0.3416 0.8881 0.8756
O4 0.3927 0.3927 0.5888
O5 0.6073 0.6073 0.4112
O6 0.6584 0.1119 0.1244
O7 0.8881 0.3416 0.8756
O8 0.8992 0.8992 0.6199
```

=====

(8)
Starting from a structure optimized by DFT (GGA+U), the powder diffraction line list of Li2MnCr2O6 was calculated for Cu Kα (weighted mean of Kα1 and Kα2).

Peak list (10 most intense, 2θ = 10–80°, by angle)
2θ/deg	I/Imax
17.48	100
35.19	7
36.52	28
39.55	15
39.73	9
44.66	32
50.76	13
58.23	17
64.01	15
75.56	5

Structural model:
```
data_Li2MnCr2O6
_chemical_formula_sum 'Li4 Mn2 Cr4 O12'
_cell_length_a 5.0724
_cell_length_b 5.0724
_cell_length_c 10.1464
_cell_angle_alpha 90.00
_cell_angle_beta 90.00
_cell_angle_gamma 60.37
_symmetry_space_group_name_H-M 'P 1'
_symmetry_Int_Tables_number 1
loop_
_symmetry_equiv_pos_as_xyz
'x,y,z'
loop_
_atom_site_label
_atom_site_fract_x
_atom_site_fract_y
_atom_site_fract_z
Li1 0.1539 0.3461 0.2500
Li2 0.3461 0.1539 0.7500
Li3 0.6539 0.8461 0.2500
Li4 0.8461 0.6539 0.7500
Mn1 0.0000 0.0000 0.0000
Mn2 0.5000 0.5000 0.5000
Cr1 0.1637 0.1637 0.5000
Cr2 0.3363 0.3363 0.0000
Cr3 0.6637 0.6637 0.0000
Cr4 0.8363 0.8363 0.5000
O1 0.0053 0.3252 0.8944
O2 0.1748 0.4947 0.6056
O3 0.1819 0.8181 0.4001
O4 0.3181 0.6819 0.9001
O5 0.3252 0.0053 0.1056
O6 0.4947 0.1748 0.3944
O7 0.5053 0.8252 0.6056
O8 0.6748 0.9947 0.8944
O9 0.6819 0.3181 0.0999
O10 0.8181 0.1819 0.5999
O11 0.8252 0.5053 0.3944
O12 0.9947 0.6748 0.1056
```

=====

(9)
Starting from a structure optimized by DFT (GGA+U), the powder diffraction line list of Ca3Ga2Fe2O10 was calculated for Cu Kα (weighted mean of Kα1 and Kα2).

Peak list (10 most intense, 2θ = 10–80°, by angle)
2θ/deg	I/Imax
16.69	45
22.25	97
24.87	44
25.59	59
30.77	65
32.56	100
33.85	98
34.49	93
35.37	43
45.41	78

Structural model:
```
data_Ca3Ga2Fe2O10
_chemical_formula_sum 'Ca6 Ga4 Fe4 O20'
_cell_length_a 5.8143
_cell_length_b 5.4997
_cell_length_c 14.9454
_cell_angle_alpha 90.00
_cell_angle_beta 111.34
_cell_angle_gamma 90.00
_symmetry_space_group_name_H-M 'P 1'
_symmetry_Int_Tables_number 1
loop_
_symmetry_equiv_pos_as_xyz
'x,y,z'
loop_
_atom_site_label
_atom_site_fract_x
_atom_site_fract_y
_atom_site_fract_z
Ca1 0.0000 0.2287 0.0000
Ca2 0.0000 0.7713 0.5000
Ca3 0.3152 0.2337 0.2963
Ca4 0.3152 0.7663 0.7963
Ca5 0.8681 0.2698 0.7746
Ca6 0.8681 0.7302 0.2746
Ga1 0.2826 0.3075 0.6349
Ga2 0.2826 0.6925 0.1349
Ga3 0.6009 0.1872 0.1373
Ga4 0.6009 0.8128 0.6373
Fe1 0.4339 0.2605 0.8942
Fe2 0.4339 0.7395 0.3942
Fe3 0.9247 0.2531 0.3915
Fe4 0.9247 0.7469 0.8915
O1 0.0120 0.2144 0.5280
O2 0.0120 0.7856 0.0280
O3 0.1703 0.4944 0.4041
O4 0.1703 0.5056 0.9041
O5 0.2015 0.0270 0.9031
O6 0.2015 0.9730 0.4031
O7 0.2364 0.2297 0.7507
O8 0.2364 0.7703 0.2507
O9 0.3142 0.3461 0.1417
O10 0.3142 0.6539 0.6417
O11 0.5644 0.1465 0.6417
O12 0.5644 0.8535 0.1417
O13 0.6420 0.2704 0.0253
O14 0.6420 0.7296 0.5253
O15 0.6572 0.4872 0.8673
O16 0.6572 0.5128 0.3673
O17 0.6913 0.0001 0.3653
O18 0.6913 0.9999 0.8653
O19 0.8736 0.2785 0.2467
O20 0.8736 0.7215 0.7467
```